(1)
CsLaHg2Se4: calculated X-ray powder pattern (Cu Kα, 1.54184 Å), based on a crystal structure in Alexandria, relaxed with GGA-PBE.
Neutral-atom scattering factors, no anomalous dispersion.

Most intense lines, 2θ from 10° to 90°, most intense first:
2θ (°), Rel. int.
24.6, 100
32.0, 65
13.8, 34
38.5, 30
30.0, 26
20.5, 26
43.0, 25
49.4, 25
25.7, 24
37.2, 23
41.2, 18
52.7, 16

Crystal structure
Lattice parameters (Å, degrees): 7.3137 8.6638 9.5160 90.00 90.00 90.00
Positions (direct):
Cs 0.0000 0.0000 0.0000
Cs 0.5000 0.5000 0.5000
La 0.0000 0.0000 0.5000
La 0.5000 0.5000 0.0000
Hg 0.0000 0.5000 0.1777
Hg 0.0000 0.5000 0.8223
Hg 0.5000 0.0000 0.3223
Hg 0.5000 0.0000 0.6777
Se 0.2351 0.1818 0.3153
Se 0.2351 0.8182 0.6847
Se 0.2649 0.3182 0.8153
Se 0.2649 0.6818 0.1847
Se 0.7351 0.3182 0.1847
Se 0.7351 0.6818 0.8153
Se 0.7649 0.1818 0.6847
Se 0.7649 0.8182 0.3153

=====

(2)
SiHRu: calculated X-ray powder pattern (Cu Kα, 1.54184 Å), based on a crystal structure in Alexandria, relaxed with GGA-PBE.
Neutral-atom scattering factors, no anomalous dispersion.

Most intense lines, 2θ from 10° to 90°, most intense first:
2θ (°), Rel. int.
35.4, 100
41.3, 60
13.3, 55
44.9, 47
71.5, 25
59.9, 20
26.8, 19
77.9, 18
70.6, 17
49.9, 13
59.4, 13
43.6, 12

Crystal structure
Lattice parameters (Å, degrees): 3.0903 3.0903 26.6247 90.00 90.00 90.00
Positions (direct):
Si 0.0005 0.4983 0.0462
Si 0.9995 0.4983 0.9538
Si 0.0005 0.5017 0.4538
Si 0.9995 0.5017 0.5462
Si 0.4983 0.0005 0.7038
Si 0.4983 0.9995 0.7962
Si 0.5017 0.9995 0.2038
Si 0.5017 0.0005 0.2962
H 0.0023 0.4983 0.2238
H 0.0023 0.5017 0.2762
H 0.4983 0.0023 0.5262
H 0.4983 0.9977 0.9738
H 0.5017 0.0023 0.4738
H 0.5017 0.9977 0.0262
H 0.9977 0.4983 0.7762
H 0.9977 0.5017 0.7238
Ru 0.0017 0.4995 0.1639
Ru 0.0017 0.5005 0.3361
Ru 0.4995 0.0017 0.5861
Ru 0.4995 0.9983 0.9139
Ru 0.5005 0.0017 0.4139
Ru 0.5005 0.9983 0.0861
Ru 0.9983 0.4995 0.8361
Ru 0.9983 0.5005 0.6639

=====

(3)
La4Dy3: calculated X-ray powder pattern (Cu Kα, 1.54184 Å), based on a crystal structure in Alexandria, relaxed with GGA-PBE.
Neutral-atom scattering factors, no anomalous dispersion.

Most intense lines, 2θ from 10° to 90°, most intense first:
2θ (°), Rel. int.
29.8, 100
30.0, 99
59.0, 43
34.4, 34
34.5, 34
35.1, 33
49.5, 24
50.1, 24
58.7, 15
59.6, 14
59.9, 14
62.0, 12

Crystal structure
Lattice parameters (Å, degrees): 11.4473 5.1948 8.2454 90.00 98.59 90.00
Positions (direct):
La 0.1432 0.0000 0.4240
La 0.2133 0.5000 0.1418
La 0.2867 0.0000 0.8582
La 0.3568 0.5000 0.5760
La 0.6432 0.5000 0.4240
La 0.7133 0.0000 0.1418
La 0.7867 0.5000 0.8582
La 0.8568 0.0000 0.5760
Dy 0.0000 0.0000 0.0000
Dy 0.0711 0.5000 0.7129
Dy 0.4289 0.0000 0.2871
Dy 0.5000 0.5000 0.0000
Dy 0.5711 0.0000 0.7129
Dy 0.9289 0.5000 0.2871

=====

(4)
Tb3GaCu: calculated X-ray powder pattern (Cu Kα, 1.54184 Å), based on a crystal structure in Alexandria, relaxed with GGA-PBE.
Neutral-atom scattering factors, no anomalous dispersion.

Most intense lines, 2θ from 10° to 90°, most intense first:
2θ (°), Rel. int.
32.9, 100
37.3, 93
26.5, 90
35.5, 75
36.4, 71
34.8, 51
37.8, 40
53.2, 33
34.1, 32
24.7, 26
51.6, 25
28.0, 20

Crystal structure
Lattice parameters (Å, degrees): 8.0218 8.0218 8.0732 90.00 90.00 85.50
Positions (direct):
Tb 0.0027 0.3001 0.5845
Tb 0.0783 0.9217 0.7991
Tb 0.1999 0.4973 0.9155
Tb 0.3001 0.0027 0.4155
Tb 0.4217 0.5783 0.2991
Tb 0.4973 0.1999 0.0845
Tb 0.5027 0.8001 0.9155
Tb 0.5783 0.4217 0.7009
Tb 0.6999 0.9973 0.5845
Tb 0.8001 0.5027 0.0845
Tb 0.9217 0.0783 0.2009
Tb 0.9973 0.6999 0.4155
Ga 0.1538 0.3462 0.2500
Ga 0.3462 0.1538 0.7500
Ga 0.6538 0.8462 0.2500
Ga 0.8462 0.6538 0.7500
Cu 0.1922 0.8078 0.1233
Cu 0.3078 0.6922 0.6233
Cu 0.6922 0.3078 0.3767
Cu 0.8078 0.1922 0.8767

=====

(5)
Mg5Bi: calculated X-ray powder pattern (Cu Kα, 1.54184 Å), based on a crystal structure in Alexandria, relaxed with GGA-PBE.
Neutral-atom scattering factors, no anomalous dispersion.

Most intense lines, 2θ from 10° to 90°, most intense first:
2θ (°), Rel. int.
33.5, 100
16.1, 85
22.0, 82
38.3, 69
17.6, 65
13.5, 51
33.9, 48
34.3, 47
28.6, 43
22.2, 38
40.9, 29
26.0, 26

Crystal structure
Lattice parameters (Å, degrees): 4.4096 10.0969 6.5529 90.00 90.56 90.00
Positions (direct):
Mg 0.2494 0.2500 0.1269
Mg 0.2504 0.5793 0.1187
Mg 0.2504 0.5822 0.6316
Mg 0.2504 0.9178 0.6316
Mg 0.2504 0.9207 0.1187
Mg 0.7496 0.0793 0.8813
Mg 0.7496 0.0822 0.3684
Mg 0.7496 0.4178 0.3684
Mg 0.7496 0.4207 0.8813
Mg 0.7506 0.7500 0.8731
Bi 0.2469 0.2500 0.6309
Bi 0.7531 0.7500 0.3691

=====

(6)
Ce2PaFe2: calculated X-ray powder pattern (Cu Kα, 1.54184 Å), based on a crystal structure in Alexandria, relaxed with GGA-PBE.
Neutral-atom scattering factors, no anomalous dispersion.

Most intense lines, 2θ from 10° to 90°, most intense first:
2θ (°), Rel. int.
34.4, 100
37.9, 81
39.2, 72
30.8, 66
36.0, 63
32.6, 61
41.6, 59
10.6, 44
32.1, 43
32.2, 42
33.6, 42
37.5, 33

Crystal structure
Lattice parameters (Å, degrees): 8.6995 7.5085 6.4071 90.00 106.64 90.00
Positions (direct):
Ce 0.0948 0.1891 0.0384
Ce 0.0948 0.3109 0.5384
Ce 0.2156 0.6045 0.1909
Ce 0.2156 0.8955 0.6909
Ce 0.7844 0.1045 0.3091
Ce 0.7844 0.3955 0.8091
Ce 0.9052 0.6891 0.4616
Ce 0.9052 0.8109 0.9616
Pa 0.4497 0.2084 0.4720
Pa 0.4497 0.2916 0.9720
Pa 0.5503 0.7084 0.0280
Pa 0.5503 0.7916 0.5280
Fe 0.1642 0.5308 0.8316
Fe 0.1642 0.9692 0.3316
Fe 0.4215 0.5063 0.6751
Fe 0.4215 0.9937 0.1751
Fe 0.5785 0.0063 0.8249
Fe 0.5785 0.4937 0.3249
Fe 0.8358 0.0308 0.6684
Fe 0.8358 0.4692 0.1684

=====

(7)
NaAcTePt: calculated X-ray powder pattern (Cu Kα, 1.54184 Å), based on a crystal structure in Alexandria, relaxed with GGA-PBE.
Neutral-atom scattering factors, no anomalous dispersion.

Most intense lines, 2θ from 10° to 90°, most intense first:
2θ (°), Rel. int.
33.2, 100
59.3, 38
20.2, 31
47.7, 18
39.2, 18
79.4, 17
69.7, 12
52.3, 8
63.3, 6
73.4, 6
88.9, 4
83.0, 2

Crystal structure
Lattice parameters (Å, degrees): 7.6304 7.6304 7.6304 90.00 90.00 90.00
Positions (direct):
Na 0.0000 0.0000 0.0000
Na 0.0000 0.5000 0.5000
Na 0.5000 0.0000 0.5000
Na 0.5000 0.5000 0.0000
Ac 0.0000 0.0000 0.5000
Ac 0.0000 0.5000 0.0000
Ac 0.5000 0.0000 0.0000
Ac 0.5000 0.5000 0.5000
Te 0.2500 0.2500 0.7500
Te 0.2500 0.7500 0.2500
Te 0.7500 0.2500 0.2500
Te 0.7500 0.7500 0.7500
Pt 0.2500 0.2500 0.2500
Pt 0.2500 0.7500 0.7500
Pt 0.7500 0.2500 0.7500
Pt 0.7500 0.7500 0.2500

=====

(8)
Dy5YEr3: calculated X-ray powder pattern (Cu Kα, 1.54184 Å), based on a crystal structure in Alexandria, relaxed with GGA-PBE.
Neutral-atom scattering factors, no anomalous dispersion.

Most intense lines, 2θ from 10° to 90°, most intense first:
2θ (°), Rel. int.
30.1, 100
32.5, 73
29.4, 39
31.4, 21
34.0, 18
31.7, 16
35.3, 16
56.5, 16
40.1, 13
38.8, 12
68.1, 12
51.8, 12

Crystal structure
Lattice parameters (Å, degrees): 9.2389 9.2389 11.0109 126.47 126.47 56.21
Positions (direct):
Dy 0.1027 0.5323 0.8011
Dy 0.2342 0.7658 0.7500
Dy 0.2819 0.5240 0.4248
Dy 0.4677 0.8973 0.6989
Dy 0.4760 0.7181 0.0752
Dy 0.5240 0.2819 0.9248
Dy 0.5323 0.1027 0.3011
Dy 0.7181 0.4760 0.5752
Dy 0.7658 0.2342 0.2500
Dy 0.8973 0.4677 0.1989
Y 0.3292 0.6708 0.2500
Y 0.6708 0.3292 0.7500
Er 0.0000 0.0000 0.0000
Er 0.0000 0.0000 0.5000
Er 0.1819 0.2512 0.9675
Er 0.2512 0.1819 0.4675
Er 0.7488 0.8181 0.5325
Er 0.8181 0.7488 0.0325

=====

(9)
SnW4: calculated X-ray powder pattern (Cu Kα, 1.54184 Å), based on a crystal structure in Alexandria, relaxed with GGA-PBE.
Neutral-atom scattering factors, no anomalous dispersion.

Most intense lines, 2θ from 10° to 90°, most intense first:
2θ (°), Rel. int.
32.5, 100
37.7, 100
54.3, 70
64.7, 42
68.0, 24
89.4, 18
18.6, 12
80.4, 11
26.4, 10
42.3, 6
46.6, 5
57.9, 3

Crystal structure
Lattice parameters (Å, degrees): 4.7769 4.7769 4.7769 90.00 90.00 90.00
Positions (direct):
Sn 0.0000 0.0000 0.0000
W 0.0000 0.0000 0.5000
W 0.0000 0.5000 0.0000
W 0.5000 0.0000 0.0000
W 0.5000 0.5000 0.5000